# Te4Rh3
Theoretical X-ray diffraction stick pattern, Cu Kα (λ = 1.5418 Å). Input: a DFT-relaxed cell (PBE, the Materials Project).
Intensities are scaled so that the largest is 100.

Crystal structure
Unit cell a=12.9754 b=4.0317 c=6.9519 alpha=90.00 beta=119.66 gamma=90.00
Space group C2/m (No. 12)
Inequivalent atoms, fractional coordinates:
Te: 0.1235 0.0000 0.4577 [4 per cell]
Te: 0.1335 0.5000 0.9773 [4 per cell]
Rh: 0.0000 0.0000 0.0000 [2 per cell]
Rh: 0.2382 0.5000 0.7231 [4 per cell]

Peak list (8 most intense, 2θ = 10–80°, in order of rising 2θ)
- hkl 0 0 2, 2θ 29.57, rel. 25
- hkl 1 1 1, 2θ 29.81, rel. 100
- hkl 3 1 -1, 2θ 30.46, rel. 39
- hkl 4 0 -2, 2θ 30.88, rel. 52
- hkl 3 1 1, 2θ 40.68, rel. 59
- hkl 5 1 -1, 2θ 41.68, rel. 45
- hkl 0 2 0, 2θ 44.97, rel. 45
- hkl 3 1 -3, 2θ 45.17, rel. 79



# U4Ga12Fe
Theoretical X-ray diffraction stick pattern, Cu Kα (λ = 1.5418 Å). Input: a DFT-relaxed cell (PBE, the Materials Project).
Intensities are scaled so that the largest is 100.

Crystal structure
Unit cell a=8.5597 b=8.5597 c=8.5597 alpha=90.00 beta=90.00 gamma=90.00
Space group Im-3m (No. 229)
Inequivalent atoms, fractional coordinates:
U: 0.2500 0.2500 0.2500 [8 per cell]
Ga: 0.0000 0.0000 0.2841 [12 per cell]
Ga: 0.0000 0.2500 0.5000 [12 per cell]
Fe: 0.0000 0.0000 0.0000 [2 per cell]

Peak list (8 most intense, 2θ = 10–80°, in order of rising 2θ)
- hkl 2 0 0, 2θ 20.75, rel. 30
- hkl 2 2 0, 2θ 29.52, rel. 44
- hkl 2 2 2, 2θ 36.36, rel. 100
- hkl 4 0 0, 2θ 42.23, rel. 56
- hkl 4 2 0, 2θ 47.50, rel. 18
- hkl 4 2 2, 2θ 52.36, rel. 16
- hkl 4 4 0, 2θ 61.26, rel. 35
- hkl 6 2 2, 2θ 73.37, rel. 35



# Mg6CrW
Theoretical X-ray diffraction stick pattern, Cu Kα (λ = 1.5418 Å). Input: a DFT-relaxed cell (PBE, the Materials Project).
Intensities are scaled so that the largest is 100.

Crystal structure
Unit cell a=4.7417 b=5.9514 c=10.9809 alpha=90.00 beta=90.00 gamma=90.00
Space group Amm2 (No. 38)
Inequivalent atoms, fractional coordinates:
Mg: 0.0000 0.0000 0.0000 [2 per cell]
Mg: 0.0000 0.2391 0.2507 [4 per cell]
Mg: 0.5000 0.0000 0.8429 [2 per cell]
Mg: 0.5000 0.2449 0.5949 [4 per cell]
Cr: 0.0000 0.0000 0.4753 [2 per cell]
W: 0.5000 0.0000 0.3656 [2 per cell]

Peak list (8 most intense, 2θ = 10–80°, in order of rising 2θ)
- hkl 0 0 2, 2θ 16.14, rel. 49
- hkl 0 1 1, 2θ 16.95, rel. 100
- hkl 1 1 1, 2θ 25.35, rel. 37
- hkl 0 2 2, 2θ 34.28, rel. 41
- hkl 1 1 3, 2θ 34.43, rel. 29
- hkl 2 0 0, 2θ 37.90, rel. 87
- hkl 1 2 2, 2θ 39.33, rel. 64
- hkl 1 1 5, 2θ 48.18, rel. 27



# CeTlAu2
Theoretical X-ray diffraction stick pattern, Cu Kα (λ = 1.5418 Å). Input: a DFT-relaxed cell (PBE, the Materials Project).
Intensities are scaled so that the largest is 100.

Crystal structure
Unit cell a=7.2299 b=7.2299 c=7.2299 alpha=90.00 beta=90.00 gamma=90.00
Space group Fm-3m (No. 225)
Inequivalent atoms, fractional coordinates:
Ce: 0.0000 0.0000 0.0000 [4 per cell]
Tl: 0.0000 0.0000 0.5000 [4 per cell]
Au: 0.2500 0.2500 0.2500 [8 per cell]

Peak list (7 most intense, 2θ = 10–80°, in order of rising 2θ)
- hkl 1 1 1, 2θ 21.29, rel. 1
- hkl 2 0 0, 2θ 24.63, rel. 1
- hkl 2 2 0, 2θ 35.11, rel. 100
- hkl 3 1 1, 2θ 41.42, rel. 1
- hkl 4 0 0, 2θ 50.49, rel. 18
- hkl 4 2 2, 2θ 62.98, rel. 37
- hkl 4 4 0, 2θ 74.20, rel. 12